This entry pairs a crystal structure of PmTh2Si2Rh7 with its computed powder XRD pattern. Radiation: Cu Kα X-rays. Structure: DFT lattice parameters and positions (PBE).
Intensities are scaled so that the largest is 100.

Most intense lines, 5° ≤ 2θ ≤ 70°, in order of falling intensity:
2theta, intensity, (hkl)
37.4, 100, 0 2 3
44.1, 68, 2 2 -1
35.6, 59, 2 0 2
34.7, 59, 2 0 -3
36.9, 35, 1 1 4
31.5, 34, 1 1 3
45.4, 29, 1 1 -6
44.2, 28, 2 2 0
58.9, 27, 2 2 -6
31.7, 24, 0 2 1

Structural model:
```
data_PmTh2Si2Rh7
_chemical_formula_sum 'Pm2 Th4 Si4 Rh14'
_symmetry_space_group_name_H-M 'C 1 2/m 1'
_symmetry_Int_Tables_number 12
_cell_length_a 5.8588
_cell_length_b 5.7863
_cell_length_c 13.1345
_cell_angle_alpha 90.00
_cell_angle_beta 97.97
_cell_angle_gamma 90.00
loop_
_symmetry_equiv_pos_as_xyz
'x,y,z'
'-x,-y,-z'
'-x,y,-z'
'x,-y,z'
'x+1/2,y+1/2,z'
'-x+1/2,-y+1/2,-z'
'-x+1/2,y+1/2,-z'
'x+1/2,-y+1/2,z'
loop_
_atom_site_label
_atom_site_type_symbol
_atom_site_fract_x
_atom_site_fract_y
_atom_site_fract_z
_atom_site_occupancy
Pm1 Pm 0.0000 0.0000 0.0000 1
Th1 Th 0.0982 0.0000 0.3489 1
Si1 Si 0.0771 0.5000 0.2535 1
Rh1 Rh 0.0000 0.5000 0.0000 1
Rh2 Rh 0.1519 0.5000 0.4329 1
Rh3 Rh 0.1994 0.2503 0.8331 1
```

***

This entry pairs a crystal structure of PuTh4O10 with its computed powder XRD pattern. Radiation: Cu Kα X-rays. Structure: DFT lattice parameters and positions (PBE).
Intensities are scaled so that the largest is 100.

Most intense lines, 5° ≤ 2θ ≤ 70°, in order of falling intensity:
2theta, intensity, (hkl)
27.7, 100, 0 1 5
46.0, 50, 1 1 0
32.1, 37, 1 0 10
54.5, 36, 1 1 15
54.6, 12, 2 0 5
57.2, 8, 0 2 10
67.1, 8, 2 0 20
57.1, 3, 0 0 30

Structural model:
```
data_PuTh4O10
_chemical_formula_sum 'Pu3 Th12 O30'
_symmetry_space_group_name_H-M 'R -3 m'
_symmetry_Int_Tables_number 166
_symmetry_space_group_name_Hall '-R 3 2"'
_cell_length_a 3.9407
_cell_length_b 3.9407
_cell_length_c 48.4061
_cell_angle_alpha 90.00
_cell_angle_beta 90.00
_cell_angle_gamma 120.00
loop_
_atom_site_label
_atom_site_type_symbol
_atom_site_fract_x
_atom_site_fract_y
_atom_site_fract_z
_atom_site_occupancy
Pu1 Pu 0.0000 0.0000 0.0000 1
Th1 Th 0.0000 0.0000 0.2005 1
Th2 Th 0.0000 0.0000 0.3986 1
O1 O 0.0000 0.0000 0.0483 1
O2 O 0.0000 0.0000 0.1499 1
O3 O 0.0000 0.0000 0.2511 1
O4 O 0.0000 0.0000 0.3485 1
O5 O 0.0000 0.0000 0.4492 1
```